1.
Diffraction record for LaMg6Ge2. The XRD peak list is computed, not measured: it uses DFT lattice parameters and positions (PBE) and CuKα.
Neutral-atom scattering factors, no anomalous dispersion.

The 6 most intense peaks (2θ from 10° to 80°), low angle first:
2θ (°)  d/Å  I_rel
28.76  3.104  48
30.01  2.978  71
32.62  2.745  68
33.49  2.676  100
39.86  2.262  59
41.13  2.195  64

Crystal structure
```
LaMg6Ge2
1.0
4.390 0.000 0.000
0.000 4.390 0.000
0.000 0.000 10.555
La Mg Ge
1 6 2
Direct
0.000 0.000 0.000
0.000 0.000 0.500
0.000 0.500 0.280
0.000 0.500 0.720
0.500 0.000 0.280
0.500 0.000 0.720
0.500 0.500 0.500
0.500 0.500 0.121
0.500 0.500 0.879
```

***

2.
Diffraction record for HClF2. The XRD peak list is computed, not measured: it uses DFT lattice parameters and positions (PBE) and CuKα.
Neutral-atom scattering factors, no anomalous dispersion.

The 6 most intense peaks (2θ from 10° to 80°), low angle first:
2θ (°)  d/Å  I_rel
18.36  4.833  30
18.90  4.696  22
21.12  4.206  30
24.85  3.583  22
27.48  3.245  100
37.45  2.401  23

Crystal structure
```
HClF2
1.0
4.868 0.000 0.000
0.480 4.860 0.000
0.543 1.530 5.753
H Cl F
2 2 4
Direct
0.000 0.000 0.000
0.230 0.175 0.208
0.575 0.578 0.927
0.752 0.808 0.623
0.036 0.999 0.170
0.362 0.295 0.250
0.586 0.654 0.454
0.967 0.018 0.783
```

***

3.
Diffraction record for KCaSbI6. The XRD peak list is computed, not measured: it uses DFT lattice parameters and positions (PBE) and CuKα.
Neutral-atom scattering factors, no anomalous dispersion.

The 6 most intense peaks (2θ from 10° to 80°), low angle first:
2θ (°)  d/Å  I_rel
17.13  5.176  15
22.79  3.902  15
25.05  3.555  100
32.07  2.791  45
39.07  2.305  29
41.43  2.180  27

Crystal structure
```
KCaSbI6
1.0
7.986 0.000 0.000
-3.993 6.916 0.000
0.000 0.000 7.804
K Ca Sb I
1 1 1 6
Direct
0.000 0.000 0.000
0.667 0.333 0.500
0.333 0.667 0.500
0.009 0.372 0.271
0.009 0.637 0.729
0.363 0.372 0.729
0.363 0.991 0.271
0.628 0.637 0.271
0.628 0.991 0.729
```

***

4.
Diffraction record for Sc2Ge3. The XRD peak list is computed, not measured: it uses DFT lattice parameters and positions (PBE) and CuKα.
Neutral-atom scattering factors, no anomalous dispersion.

The 6 most intense peaks (2θ from 10° to 80°), low angle first:
2θ (°)  d/Å  I_rel
22.65  3.926  36
35.56  2.525  100
38.57  2.334  82
44.60  2.031  21
46.25  1.963  24
46.99  1.934  26

Crystal structure
```
Sc2Ge3
1.0
3.868 0.000 0.000
0.000 6.309 0.000
0.000 0.000 7.851
Sc Ge
4 6
Direct
0.000 0.000 0.226
0.000 0.000 0.774
0.500 0.500 0.274
0.500 0.500 0.726
0.000 0.300 0.500
0.000 0.500 0.000
0.000 0.700 0.500
0.500 0.000 0.500
0.500 0.200 0.000
0.500 0.800 0.000
```

***

5.
Diffraction record for La15Tb4Ce. The XRD peak list is computed, not measured: it uses DFT lattice parameters and positions (PBE) and CuKα.
Neutral-atom scattering factors, no anomalous dispersion.

The 6 most intense peaks (2θ from 10° to 80°), low angle first:
2θ (°)  d/Å  I_rel
29.67  3.011  100
34.39  2.608  51
49.43  1.844  36
58.71  1.573  43
61.60  1.506  12
72.49  1.304  6

Crystal structure
```
La15Tb4Ce
1.0
5.215 0.000 0.000
0.000 5.215 0.000
0.000 0.000 26.080
La Tb Ce
15 4 1
Direct
0.000 0.000 0.000
0.000 0.000 0.201
0.000 0.000 0.401
0.000 0.000 0.599
0.000 0.000 0.799
0.000 0.500 0.098
0.000 0.500 0.300
0.000 0.500 0.500
0.000 0.500 0.700
0.000 0.500 0.902
0.500 0.000 0.098
0.500 0.000 0.300
0.500 0.000 0.500
0.500 0.000 0.700
0.500 0.000 0.902
0.500 0.500 0.200
0.500 0.500 0.400
0.500 0.500 0.600
0.500 0.500 0.800
0.500 0.500 0.000
```

***

6.
Diffraction record for NaIr2F11. The XRD peak list is computed, not measured: it uses DFT lattice parameters and positions (PBE) and CuKα.
Neutral-atom scattering factors, no anomalous dispersion.

The 6 most intense peaks (2θ from 10° to 80°), low angle first:
2θ (°)  d/Å  I_rel
16.79  5.280  50
21.70  4.096  19
23.24  3.827  100
33.53  2.672  24
45.28  2.003  18
48.45  1.879  14

Crystal structure
```
NaIr2F11
1.0
-4.584 4.599 5.280
4.584 -4.599 5.280
4.584 4.599 -5.280
Na Ir F
2 4 22
Direct
0.250 0.250 0.000
0.750 0.750 0.000
0.155 0.656 0.811
0.345 0.156 0.501
0.655 0.844 0.499
0.845 0.344 0.189
0.000 0.500 0.500
0.074 0.365 0.184
0.111 0.927 0.294
0.134 0.427 0.816
0.181 0.890 0.816
0.201 0.300 0.501
0.299 0.800 0.099
0.319 0.135 0.709
0.366 0.183 0.294
0.389 0.683 0.816
0.426 0.610 0.291
0.500 0.000 0.500
0.574 0.390 0.709
0.611 0.317 0.184
0.634 0.817 0.706
0.681 0.865 0.291
0.701 0.200 0.901
0.799 0.700 0.499
0.819 0.110 0.184
0.866 0.573 0.184
0.889 0.073 0.706
0.926 0.635 0.816
```

***

7.
Diffraction record for Li2TbAl2Hg2. The XRD peak list is computed, not measured: it uses DFT lattice parameters and positions (PBE) and CuKα.
Neutral-atom scattering factors, no anomalous dispersion.

The 6 most intense peaks (2θ from 10° to 80°), low angle first:
2θ (°)  d/Å  I_rel
11.88  7.450  57
27.14  3.285  50
27.55  3.238  100
36.21  2.481  30
38.66  2.329  29
39.14  2.302  55

Crystal structure
```
Li2TbAl2Hg2
1.0
7.946 0.000 0.000
0.000 4.658 0.000
-2.880 0.000 7.450
Li Tb Al Hg
4 2 4 4
Direct
0.147 0.000 0.427
0.353 0.500 0.573
0.647 0.500 0.427
0.853 0.000 0.573
0.000 0.000 0.000
0.500 0.500 0.000
0.065 0.500 0.704
0.435 0.000 0.296
0.565 0.000 0.704
0.935 0.500 0.296
0.242 0.500 0.216
0.258 0.000 0.784
0.742 0.000 0.216
0.758 0.500 0.784
```

***

8.
Diffraction record for ScHgOs2. The XRD peak list is computed, not measured: it uses DFT lattice parameters and positions (PBE) and CuKα.
Neutral-atom scattering factors, no anomalous dispersion.

The 6 most intense peaks (2θ from 10° to 80°), low angle first:
2θ (°)  d/Å  I_rel
14.99  5.909  19
38.12  2.361  100
43.37  2.087  33
46.14  1.968  17
65.18  1.431  21
76.13  1.250  13

Crystal structure
```
ScHgOs2
1.0
2.947 0.000 0.000
0.000 3.935 0.000
0.000 0.000 5.909
Sc Hg Os
1 1 2
Direct
0.000 0.000 0.000
0.500 0.500 0.273
0.000 0.000 0.563
0.500 0.500 0.748
```